Simulated PXRD pattern
Compound: PmMn2C2
Radiation: Cu Ka
Structure: a structure optimized by DFT (PBE)
Intensities are scaled so that the largest is 100.

Top 6 peaks for 5° ≤ 2θ ≤ 70°, by intensity:
34.5°, intensity 100, (1 1 3); 35.9°, intensity 100, (2 2 0); 46.2°, intensity 53, (1 3 3); 35.1°, intensity 42, (2 0 2); 28.7°, intensity 41, (0 2 2); 42.5°, intensity 34, (0 4 0)

Crystal structure
```
data_PmMn2C2
_chemical_formula_sum 'Pm8 Mn16 C16'
_symmetry_space_group_name_H-M 'F d d d'
_symmetry_Int_Tables_number 70
_cell_length_a 6.180
_cell_length_b 8.500
_cell_length_c 9.131
_cell_angle_alpha 90.00
_cell_angle_beta 90.00
_cell_angle_gamma 90.00
loop_
_symmetry_equiv_pos_as_xyz
'x,y,z'
'-x,-y,-z'
'-x+1/4,-y+1/4,z'
'x+1/4,y+1/4,-z'
'x,-y+1/4,-z+1/4'
'-x,y+1/4,z+1/4'
'-x+1/4,y,-z+1/4'
'x+1/4,-y,z+1/4'
'x,y+1/2,z+1/2'
'-x,-y+1/2,-z+1/2'
'-x+1/4,-y+3/4,z+1/2'
'x+1/4,y+3/4,-z+1/2'
'x,-y+3/4,-z+3/4'
'-x,y+3/4,z+3/4'
'-x+1/4,y+1/2,-z+3/4'
'x+1/4,-y+1/2,z+3/4'
'x+1/2,y,z+1/2'
'-x+1/2,-y,-z+1/2'
'-x+3/4,-y+1/4,z+1/2'
'x+3/4,y+1/4,-z+1/2'
'x+1/2,-y+1/4,-z+3/4'
'-x+1/2,y+1/4,z+3/4'
'-x+3/4,y,-z+3/4'
'x+3/4,-y,z+3/4'
'x+1/2,y+1/2,z'
'-x+1/2,-y+1/2,-z'
'-x+3/4,-y+3/4,z'
'x+3/4,y+3/4,-z'
'x+1/2,-y+3/4,-z+1/4'
'-x+1/2,y+3/4,z+1/4'
'-x+3/4,y+1/2,-z+1/4'
'x+3/4,-y+1/2,z+1/4'
loop_
_atom_site_label
_atom_site_type_symbol
_atom_site_fract_x
_atom_site_fract_y
_atom_site_fract_z
Pm1 Pm 0.125 0.125 0.125
Mn1 Mn 0.125 0.125 0.490
C1 C 0.125 0.310 0.625
```